The following is a computed powder diffraction line list of Pr4Nd3Sm4. It was derived from DFT lattice parameters and positions (GGA-PBE), using Cu Kα.

Cell and atoms:
Cell lengths 22.7391, 9.6682, 3.6539 Å; angles 90.00, 99.23, 90.00 degrees
Space group C2/m (No. 12)
Symmetry-distinct sites (fractional):
Pr 0.1455 0.1768 0.1446 x8
Nd 0.0000 0.0000 0.5000 x2
Nd 0.1078 0.5000 0.6076 x4
Sm 0.0000 0.3157 0.0000 x4
Sm 0.2398 0.5000 0.2410 x4

Main lines, by intensity (2θ from 5° to 70°):
hkl, 2θ/deg, Rel. int.
3 1 1, 30.6, 100
3 3 0, 30.2, 89
0 2 1, 30.9, 53
3 5 1, 56.3, 31
8 0 0, 31.9, 29
8 2 -1, 41.9, 27
5 3 -2, 59.5, 26
9 3 1, 55.9, 24
3 3 -1, 38.1, 21
0 4 0, 37.2, 17

=====

The following is a computed powder diffraction line list of Ba4P. It was derived from DFT lattice parameters and positions (GGA-PBE), using Cu Kα.

Cell and atoms:
Cell lengths 6.4758, 6.4758, 6.4758 Å; angles 90.00, 90.00, 90.00 degrees
Space group Pm-3m (No. 221)
Symmetry-distinct sites (fractional):
Ba 0.0000 0.0000 0.0000 x1
Ba 0.0000 0.5000 0.5000 x3
P 0.5000 0.5000 0.5000 x1

Main lines, by intensity (2θ from 5° to 70°):
hkl, 2θ/deg, Rel. int.
1 1 1, 23.8, 100
2 0 0, 27.5, 67
2 2 0, 39.4, 51
3 1 1, 46.5, 50
4 2 0, 64.3, 24
3 3 1, 62.5, 21
2 2 2, 48.7, 18
4 0 0, 56.9, 9
1 0 0, 13.7, 1
1 1 0, 19.4, 1

=====

The following is a computed powder diffraction line list of Tl2HgPbBr4. It was derived from DFT lattice parameters and positions (GGA-PBE), using Cu Kα.

Cell and atoms:
Cell lengths 14.4150, 4.5565, 9.5371 Å; angles 90.00, 111.64, 90.00 degrees
Space group C2/m (No. 12)
Symmetry-distinct sites (fractional):
Tl 0.2020 0.0000 0.2063 x4
Hg 0.0000 0.5000 0.0000 x2
Pb 0.0000 0.0000 0.5000 x2
Br 0.1226 0.5000 0.4345 x4
Br 0.1497 0.0000 0.8229 x4

Main lines, by intensity (2θ from 5° to 70°):
hkl, 2θ/deg, Rel. int.
3 1 -1, 27.1, 100
2 0 2, 27.9, 45
1 1 -3, 34.7, 42
2 0 -2, 19.5, 38
0 2 0, 39.6, 34
1 1 1, 24.0, 23
5 1 3, 58.0, 16
5 1 -3, 41.3, 16
2 2 2, 49.1, 15
3 1 -5, 52.0, 14

=====

The following is a computed powder diffraction line list of K3Na4Hg. It was derived from DFT lattice parameters and positions (GGA-PBE), using Cu Kα.

Cell and atoms:
Cell lengths 7.0185, 13.7130, 7.8714 Å; angles 90.00, 90.00, 90.00 degrees
Space group Pmmn (No. 59, origin choice 2)
Symmetry-distinct sites (fractional):
K 0.2500 0.0069 0.1700 x4
K 0.2500 0.7500 0.5615 x2
Na 0.0016 0.2500 0.9699 x4
Na 0.2500 0.1053 0.6362 x4
Hg 0.2500 0.2500 0.3171 x2

Main lines, by intensity (2θ from 5° to 70°):
hkl, 2θ/deg, Rel. int.
0 2 0, 12.9, 100
1 1 0, 14.2, 64
1 0 1, 16.9, 49
1 4 1, 31.2, 41
2 3 1, 34.2, 36
0 3 1, 22.5, 32
2 1 1, 28.6, 28
1 2 2, 29.1, 27
2 0 0, 25.4, 25
0 4 0, 26.0, 24

=====

The following is a computed powder diffraction line list of Np2ZnF8. It was derived from DFT lattice parameters and positions (GGA-PBE), using Cu Kα.

Cell and atoms:
Cell lengths 12.9480, 4.9135, 5.9491 Å; angles 90.00, 90.10, 90.00 degrees
Space group C2/m (No. 12)
Symmetry-distinct sites (fractional):
Np 0.1281 0.0000 0.0313 x4
Zn 0.0000 0.0000 0.5000 x2
F 0.0169 0.2439 0.7822 x8
F 0.1517 0.0000 0.4101 x4
F 0.1928 0.5000 0.0329 x4

Main lines, by intensity (2θ from 5° to 70°):
hkl, 2θ/deg, Rel. int.
1 1 0, 19.3, 100
4 0 -1, 31.4, 88
0 0 1, 14.9, 88
1 1 -2, 36.0, 36
4 0 0, 27.5, 34
1 1 -1, 24.5, 33
0 2 2, 48.0, 29
4 0 -2, 41.2, 29
4 2 1, 49.0, 29
5 1 -1, 42.2, 25

=====

The following is a computed powder diffraction line list of Rb2HfAg2Te6. It was derived from DFT lattice parameters and positions (GGA-PBE), using Cu Kα.

Cell and atoms:
Cell lengths 15.0072, 6.6954, 8.7401 Å; angles 90.00, 116.97, 90.00 degrees
Space group C2/m (No. 12)
Symmetry-distinct sites (fractional):
Rb 0.2213 0.0000 0.1995 x4
Hf 0.0000 0.0000 0.5000 x2
Ag 0.0941 0.5000 0.1683 x4
Te 0.0506 0.2608 0.7930 x8
Te 0.2085 0.0000 0.6027 x4

Main lines, by intensity (2θ from 5° to 70°):
hkl, 2θ/deg, Rel. int.
2 2 -2, 33.9, 100
1 1 -1, 16.7, 85
1 1 -2, 24.6, 59
5 1 0, 36.2, 57
4 2 1, 43.4, 44
4 0 -1, 23.7, 39
2 0 0, 13.2, 36
2 2 0, 29.8, 35
0 0 3, 34.5, 30
6 0 -1, 36.6, 30

=====

> What is the formula in the fourth record?

K3Na4Hg

=====

Repeat the fourth record exactly.
The following is a computed powder diffraction line list of K3Na4Hg. It was derived from DFT lattice parameters and positions (GGA-PBE), using Cu Kα.

Cell and atoms:
Cell lengths 7.0185, 13.7130, 7.8714 Å; angles 90.00, 90.00, 90.00 degrees
Space group Pmmn (No. 59, origin choice 2)
Symmetry-distinct sites (fractional):
K 0.2500 0.0069 0.1700 x4
K 0.2500 0.7500 0.5615 x2
Na 0.0016 0.2500 0.9699 x4
Na 0.2500 0.1053 0.6362 x4
Hg 0.2500 0.2500 0.3171 x2

Main lines, by intensity (2θ from 5° to 70°):
hkl, 2θ/deg, Rel. int.
0 2 0, 12.9, 100
1 1 0, 14.2, 64
1 0 1, 16.9, 49
1 4 1, 31.2, 41
2 3 1, 34.2, 36
0 3 1, 22.5, 32
2 1 1, 28.6, 28
1 2 2, 29.1, 27
2 0 0, 25.4, 25
0 4 0, 26.0, 24